Calculated powder diffractogram
Compound: Np6Hg4Bi7
Radiation: a wavelength of 1.5418 Å
Structure: a PBE-relaxed structure

Atomic structure:
```
Np6Hg4Bi7
1.0
-5.068 5.068 5.068
5.068 -5.068 5.068
5.068 5.068 -5.068
Np Hg Bi
6 4 7
Direct
0.000 0.306 0.306 Np
0.000 0.694 0.694 Np
0.306 0.000 0.306 Np
0.306 0.306 0.000 Np
0.694 0.000 0.694 Np
0.694 0.694 0.000 Np
0.000 0.000 0.500 Hg
0.000 0.500 0.000 Hg
0.500 0.000 0.000 Hg
0.500 0.500 0.500 Hg
0.000 0.000 0.000 Bi
0.250 0.500 0.750 Bi
0.250 0.750 0.500 Bi
0.500 0.250 0.750 Bi
0.500 0.750 0.250 Bi
0.750 0.250 0.500 Bi
0.750 0.500 0.250 Bi
```

Largest 12 diffraction maxima, by angle, 10° ≤ 2θ ≤ 90°:
3.206 Å, intensity 11; 2.926 Å, intensity 100; 2.709 Å, intensity 15; 2.534 Å, intensity 65; 2.389 Å, intensity 16; 2.161 Å, intensity 18; 1.792 Å, intensity 36; 1.528 Å, intensity 28; 1.495 Å, intensity 12; 1.463 Å, intensity 9; 1.379 Å, intensity 14; 1.133 Å, intensity 12